Structure and simulated XRD peak list of CaY2UN4 (DFT lattice parameters and positions (PBE); Cu Kα, 1.54184 Å).
Intensities are scaled so that the largest is 100.

Peak list (12 most intense, 15 to 90 degrees two-theta, most intense first)
2.834 Å, I 100; 2.468 Å, I 55; 5.668 Å, I 36; 1.730 Å, I 36; 1.486 Å, I 30; 2.427 Å, I 26; 4.854 Å, I 20; 1.745 Å, I 19; 1.417 Å, I 18; 3.490 Å, I 18; 2.971 Å, I 15; 1.468 Å, I 15

Cell and atoms:
Unit cell a=5.977 b=3.489 c=5.982 alpha=90.00 beta=108.55 gamma=90.00
Sites, in units of the cell vectors:
Ca: 0.000 0.000 0.000
Y: 0.000 0.500 0.500
Y: 0.500 0.000 0.500
U: 0.500 0.500 0.000
N: 0.262 0.000 0.755
N: 0.279 0.500 0.239
N: 0.721 0.500 0.761
N: 0.738 0.000 0.245